No. 1
Li2MnFeB2O6: calculated powder diffractogram (Cu Kα (λ = 1.5418 Å)), based on the GGA+U geometry in Alexandria.
Neutral-atom scattering factors, no anomalous dispersion.

```
Li2MnFeB2O6
1.0
2.621 -4.536 0.000
2.621 4.536 0.000
-0.330 0.000 10.399
Li Mn Fe B O
4 2 2 4 12
Cartesian
2.456 4.462 5.200
1.621 0.106 2.588
1.456 -0.106 7.787
2.621 -4.462 0.000
4.068 1.475 7.443
4.233 -1.475 2.243
2.274 1.486 10.040
2.439 -1.486 4.840
2.449 1.515 4.769
4.269 1.546 2.163
2.284 -1.515 9.968
4.103 -1.546 7.362
2.291 4.103 7.218
1.866 2.747 4.456
2.009 1.772 7.795
1.686 0.362 4.630
1.521 -0.362 9.830
2.910 1.449 1.838
3.775 1.443 5.187
2.174 -1.772 2.595
1.701 -2.747 9.655
2.744 -1.449 7.037
3.610 -1.443 10.386
2.456 -4.103 2.018
```

Largest 10 diffraction maxima, sorted by position, 10° ≤ 2θ ≤ 90°:
2θ = 19.57°, intensity 67
2θ = 21.37°, intensity 39
2θ = 21.58°, intensity 63
2θ = 25.70°, intensity 47
2θ = 26.42°, intensity 30
2θ = 34.24°, intensity 88
2θ = 34.50°, intensity 100
2θ = 40.47°, intensity 50
2θ = 40.72°, intensity 24
2θ = 61.30°, intensity 36


No. 2
Li6MnFe5B6O18: calculated powder diffractogram (Cu Kα (λ = 1.5418 Å)), based on the GGA+U geometry in Alexandria.
Neutral-atom scattering factors, no anomalous dispersion.

```
Li6MnFe5B6O18
1.0
8.205 -3.147 0.000
8.205 3.147 0.000
-4.081 0.000 7.128
Li Mn Fe B O
6 1 5 6 18
Cartesian
4.538 1.574 1.887
8.205 1.586 0.000
7.990 1.562 4.119
4.538 -1.574 1.887
8.205 -1.586 0.000
7.990 -1.562 4.119
9.921 0.000 2.080
1.794 0.000 2.108
1.374 0.000 6.493
5.298 0.000 4.630
9.573 0.000 6.483
13.594 0.000 4.566
2.825 1.567 4.395
6.936 1.585 6.736
6.895 0.000 1.991
2.825 -1.567 4.395
6.936 -1.585 6.736
15.143 0.000 1.983
-0.115 0.000 1.220
-1.187 0.000 3.378
2.684 1.577 5.776
4.090 1.574 3.810
5.771 1.581 5.981
5.639 0.000 1.380
10.947 1.601 0.994
8.173 1.569 6.107
9.894 1.604 3.581
8.035 0.000 1.192
7.000 0.000 3.376
2.684 -1.577 5.776
4.090 -1.574 3.810
5.771 -1.581 5.981
13.885 0.000 1.375
10.947 -1.601 0.994
8.173 -1.569 6.107
9.894 -1.604 3.581
```

Largest 10 diffraction maxima, sorted by position, 10° ≤ 2θ ≤ 90°:
2θ = 21.63°, intensity 100
2θ = 31.08°, intensity 15
2θ = 35.95°, intensity 79
2θ = 37.89°, intensity 20
2θ = 38.01°, intensity 10
2θ = 38.18°, intensity 11
2θ = 48.00°, intensity 18
2θ = 53.29°, intensity 15
2θ = 54.86°, intensity 13
2θ = 58.68°, intensity 11


No. 3
Li2MnFeB2O6: calculated powder diffractogram (Cu Kα (λ = 1.5418 Å)), based on the GGA+U geometry in Alexandria.
Neutral-atom scattering factors, no anomalous dispersion.

```
Li2MnFeB2O6
1.0
5.253 0.000 0.000
-2.437 5.486 0.000
-0.142 -2.214 8.740
Li Mn Fe B O
4 2 2 4 12
Cartesian
-0.388 0.726 4.068
0.502 3.632 0.295
2.171 -0.360 8.445
3.062 2.546 4.672
0.456 2.650 6.168
2.218 0.622 2.572
-0.426 -0.428 6.951
3.099 3.700 1.788
-0.393 1.130 1.156
0.477 3.239 3.192
2.196 0.033 5.548
3.066 2.142 7.583
0.146 0.373 2.208
-0.837 1.803 7.562
0.427 1.585 0.139
-0.318 2.768 4.215
0.826 0.312 5.562
-0.087 3.963 2.133
2.761 -0.691 6.606
1.847 2.960 3.178
2.992 0.505 4.524
2.247 1.687 8.601
3.510 1.469 1.178
2.528 2.899 6.532
```

Largest 10 diffraction maxima, sorted by position, 10° ≤ 2θ ≤ 90°:
2θ = 20.32°, intensity 79
2θ = 20.71°, intensity 23
2θ = 22.26°, intensity 36
2θ = 22.55°, intensity 60
2θ = 33.71°, intensity 100
2θ = 34.15°, intensity 60
2θ = 34.65°, intensity 24
2θ = 40.21°, intensity 25
2θ = 40.95°, intensity 33
2θ = 61.79°, intensity 25


No. 4
Li4MnFe3B4O12: calculated powder diffractogram (Cu Kα (λ = 1.5418 Å)), based on the GGA+U geometry in Alexandria.
Neutral-atom scattering factors, no anomalous dispersion.

```
Li4MnFe3B4O12
1.0
5.256 0.000 0.000
-2.444 5.476 0.000
-0.166 -2.168 8.686
Li Mn Fe B O
4 1 3 4 12
Cartesian
0.000 0.000 0.000
-0.794 1.508 8.109
0.078 4.365 4.325
1.899 2.594 3.764
1.808 1.383 6.611
-0.119 -1.019 5.839
-0.725 2.502 2.229
2.633 0.090 1.536
-0.040 -0.373 2.880
-0.798 1.888 5.197
2.501 -1.481 7.233
1.945 2.959 0.890
-0.265 1.125 6.250
1.318 -0.684 2.844
0.021 2.335 4.179
1.716 -1.936 8.266
0.583 3.256 0.907
1.933 -0.767 6.165
2.500 2.230 1.951
3.871 -1.765 7.202
2.586 1.259 8.559
4.416 -0.828 3.906
3.109 2.235 5.228
4.655 0.355 1.819
```

Largest 10 diffraction maxima, sorted by position, 10° ≤ 2θ ≤ 90°:
2θ = 20.45°, intensity 84
2θ = 20.77°, intensity 25
2θ = 22.31°, intensity 32
2θ = 22.53°, intensity 62
2θ = 33.74°, intensity 100
2θ = 34.14°, intensity 32
2θ = 34.28°, intensity 24
2θ = 34.88°, intensity 27
2θ = 40.32°, intensity 24
2θ = 40.96°, intensity 52


No. 5
Li6MnFe5B6O18: calculated powder diffractogram (Cu Kα (λ = 1.5418 Å)), based on the GGA+U geometry in Alexandria.
Neutral-atom scattering factors, no anomalous dispersion.

```
Li6MnFe5B6O18
1.0
8.206 0.000 0.000
0.000 6.307 0.000
-4.086 0.000 7.119
Li Mn Fe B O
6 1 5 6 18
Cartesian
0.000 1.548 0.000
0.000 4.759 0.000
0.223 1.556 4.108
0.223 4.751 4.108
4.750 1.571 2.234
4.750 4.735 2.234
-2.517 3.153 4.801
-2.521 0.000 4.736
1.905 3.153 2.072
2.009 0.000 2.020
1.403 0.000 6.612
1.498 3.153 6.669
-1.092 3.153 2.110
-1.071 0.000 2.100
-1.061 1.573 6.875
-1.061 4.734 6.875
3.020 1.573 4.496
3.020 4.734 4.496
0.058 3.153 2.899
0.085 0.000 2.873
-1.202 1.570 5.490
-1.202 4.736 5.490
1.895 1.574 0.573
1.895 4.732 0.573
4.297 1.571 0.324
4.297 4.736 0.324
2.942 1.585 3.108
2.942 4.722 3.108
1.858 1.580 5.256
1.858 4.727 5.256
4.259 1.558 5.121
4.259 4.749 5.121
5.861 3.153 2.704
5.885 0.000 2.735
7.196 0.000 0.714
7.233 3.153 0.721
```

Largest 10 diffraction maxima, sorted by position, 10° ≤ 2θ ≤ 90°:
2θ = 21.64°, intensity 100
2θ = 31.02°, intensity 15
2θ = 33.33°, intensity 18
2θ = 35.91°, intensity 79
2θ = 37.95°, intensity 30
2θ = 38.14°, intensity 11
2θ = 48.01°, intensity 26
2θ = 53.24°, intensity 22
2θ = 54.87°, intensity 14
2θ = 58.54°, intensity 11


No. 6
Li4Mn3FeB4O12: calculated powder diffractogram (Cu Kα (λ = 1.5418 Å)), based on the GGA+U geometry in Alexandria.
Neutral-atom scattering factors, no anomalous dispersion.

```
Li4Mn3FeB4O12
1.0
5.174 0.000 0.000
2.347 5.540 0.000
0.105 2.329 8.855
Li Mn Fe B O
4 3 1 4 12
Cartesian
0.000 0.000 0.000
1.635 5.632 7.755
2.630 1.190 4.427
4.181 4.492 3.309
1.560 4.445 4.980
2.700 2.372 7.196
5.249 1.212 2.743
4.140 3.269 0.572
1.529 3.789 1.974
2.664 0.717 1.313
4.133 4.960 6.439
5.291 1.862 5.741
2.075 3.640 0.719
2.244 4.397 3.004
1.421 2.309 5.478
2.830 4.510 6.688
1.920 0.106 0.310
2.145 0.847 2.591
4.671 4.838 5.171
4.845 5.585 7.464
3.973 1.143 1.044
5.376 3.371 2.218
4.563 1.247 4.723
4.765 1.984 7.012
```

Largest 10 diffraction maxima, sorted by position, 10° ≤ 2θ ≤ 90°:
2θ = 20.42°, intensity 81
2θ = 22.05°, intensity 34
2θ = 22.57°, intensity 62
2θ = 33.45°, intensity 100
2θ = 33.96°, intensity 31
2θ = 34.29°, intensity 28
2θ = 34.72°, intensity 25
2θ = 39.99°, intensity 26
2θ = 40.79°, intensity 57
2θ = 60.68°, intensity 29